[1]
Starting from DFT lattice parameters and positions (PBE), the powder X-ray diffraction pattern of UCdN was simulated for Cu Kα, 1.54184 Å.
Intensities are scaled so that the largest is 100.

Structural model:
```
UCdN
1.0
3.2447 -1.8789 0.0000
3.2447 1.8789 0.0000
-0.0216 0.0000 10.5246
U Cd N
2 2 2
Direct
0.1673 0.1673 0.1354
0.8327 0.8327 0.8646
0.1675 0.1675 0.6034
0.8325 0.8325 0.3966
0.1666 0.1666 0.9161
0.8334 0.8334 0.0839
```

Principal peaks in the range 10 to 90 degrees two-theta, by angle:
d/Å	2θ (°)	I (rel.)
3.249	27.45	31
3.105	28.75	13
2.765	32.38	100
2.631	34.07	20
2.046	44.28	12
1.879	48.45	9
1.875	48.56	17
1.553	59.50	12
1.544	59.91	12
1.529	60.58	15

[2]
Starting from DFT lattice parameters and positions (PBE), the powder X-ray diffraction pattern of Y4Cd2N was simulated for Cu Kα, 1.54184 Å.
Intensities are scaled so that the largest is 100.

Structural model:
```
Y4Cd2N
1.0
-2.4193 2.4193 7.5308
2.4193 -2.4193 7.5308
2.4193 2.4193 -7.5308
Y Cd N
4 2 1
Direct
0.0000 0.5000 0.5000
0.1652 0.1652 0.0000
0.5000 0.0000 0.5000
0.8348 0.8348 0.0000
0.3675 0.3675 0.0000
0.6325 0.6325 0.0000
0.0000 0.0000 0.0000
```

Principal peaks in the range 10 to 90 degrees two-theta, by angle:
d/Å	2θ (°)	I (rel.)
3.421	26.04	28
3.115	28.66	57
2.557	35.09	20
2.532	35.45	100
2.510	35.77	20
2.419	37.16	67
1.757	52.04	12
1.742	52.53	25
1.711	53.57	22
1.418	65.89	31

[3]
Starting from DFT lattice parameters and positions (PBE), the powder X-ray diffraction pattern of Zr3Cd3N was simulated for Cu Kα, 1.54184 Å.
Intensities are scaled so that the largest is 100.

Structural model:
```
Zr3Cd3N
1.0
0.0000 6.4168 6.4168
6.4168 0.0000 6.4168
6.4168 6.4168 0.0000
Zr Cd N
12 12 4
Direct
0.0510 0.0510 0.6990
0.0510 0.6990 0.0510
0.0510 0.6990 0.6990
0.3010 0.3010 0.9490
0.3010 0.9490 0.3010
0.3010 0.9490 0.9490
0.6990 0.0510 0.0510
0.6990 0.0510 0.6990
0.6990 0.6990 0.0510
0.9490 0.3010 0.3010
0.9490 0.3010 0.9490
0.9490 0.9490 0.3010
0.0000 0.5000 0.5000
0.2884 0.2884 0.2884
0.2884 0.2884 0.6348
0.2884 0.6348 0.2884
0.3652 0.7116 0.7116
0.5000 0.0000 0.5000
0.5000 0.5000 0.0000
0.5000 0.5000 0.5000
0.6348 0.2884 0.2884
0.7116 0.3652 0.7116
0.7116 0.7116 0.3652
0.7116 0.7116 0.7116
0.0000 0.0000 0.0000
0.0000 0.0000 0.5000
0.0000 0.5000 0.0000
0.5000 0.0000 0.0000
```

Principal peaks in the range 10 to 90 degrees two-theta, by angle:
d/Å	2θ (°)	I (rel.)
2.620	34.23	29
2.470	36.38	100
2.269	39.73	20
2.169	41.63	8
2.139	42.25	11
1.852	49.19	8
1.512	61.29	31
1.482	62.69	8
1.400	66.81	7
1.290	73.41	21

[4]
Starting from DFT lattice parameters and positions (PBE), the powder X-ray diffraction pattern of Na7Cd3 was simulated for Cu Kα, 1.54184 Å.
Intensities are scaled so that the largest is 100.

Structural model:
```
Na7Cd3
1.0
8.6318 -2.5040 0.0000
8.6318 2.5040 0.0000
-0.8793 0.0000 6.7419
Na Cd
7 3
Direct
0.0000 0.0000 0.0000
0.1964 0.1964 0.5947
0.3937 0.3937 0.7248
0.4007 0.4007 0.2190
0.5993 0.5993 0.7810
0.6063 0.6063 0.2752
0.8036 0.8036 0.4053
0.0000 0.0000 0.5000
0.2121 0.2121 0.0793
0.7879 0.7879 0.9207
```

Principal peaks in the range 10 to 90 degrees two-theta, by angle:
d/Å	2θ (°)	I (rel.)
5.664	15.64	44
4.992	17.77	60
4.807	18.46	26
3.413	26.11	45
2.826	31.66	100
2.808	31.87	97
2.504	35.86	38
2.496	35.98	37
1.768	51.71	25
1.500	61.85	26

[5]
Starting from DFT lattice parameters and positions (PBE), the powder X-ray diffraction pattern of Na8Cd3 was simulated for Cu Kα, 1.54184 Å.
Intensities are scaled so that the largest is 100.

Structural model:
```
Na8Cd3
1.0
5.4036 -2.4499 0.0000
5.4036 2.4499 0.0000
-3.7089 0.0000 12.1842
Na Cd
8 3
Direct
0.0486 0.0486 0.3177
0.1297 0.1297 0.9563
0.2258 0.2258 0.5922
0.3203 0.3203 0.2248
0.6797 0.6797 0.7752
0.7742 0.7742 0.4078
0.8703 0.8703 0.0437
0.9514 0.9514 0.6823
0.4064 0.4064 0.8721
0.5000 0.5000 0.5000
0.5936 0.5936 0.1279
```

Principal peaks in the range 10 to 90 degrees two-theta, by angle:
d/Å	2θ (°)	I (rel.)
4.669	19.01	19
4.428	20.05	29
3.815	23.32	12
2.825	31.67	100
2.503	35.87	16
2.450	36.68	16
2.391	37.62	15
1.751	52.25	11
1.711	53.55	10
1.477	62.93	12

[6]
Starting from DFT lattice parameters and positions (PBE), the powder X-ray diffraction pattern of Na3Cd5 was simulated for Cu Kα, 1.54184 Å.
Intensities are scaled so that the largest is 100.

Structural model:
```
Na3Cd5
1.0
7.5327 0.0000 0.0000
-3.7663 6.5235 0.0000
0.0000 0.0000 4.4044
Na Cd
3 5
Direct
0.0000 0.6119 0.0000
0.3881 0.3881 0.0000
0.6119 0.0000 0.0000
0.0000 0.2323 0.5000
0.2323 0.0000 0.5000
0.3333 0.6667 0.5000
0.6667 0.3333 0.5000
0.7677 0.7677 0.5000
```

Principal peaks in the range 10 to 90 degrees two-theta, by angle:
d/Å	2θ (°)	I (rel.)
4.404	20.16	100
3.766	23.62	27
3.262	27.34	21
2.862	31.25	79
2.621	34.21	42
2.466	36.44	75
2.202	40.98	26
2.151	41.99	78
1.642	55.99	41
1.355	69.38	27